Record 1
Starting from a structure optimized by DFT (PBE), the powder diffraction line list of CsEuS2 was simulated for Cu Kα X-rays.

Structural model:
```
data_CsEuS2
_chemical_formula_sum 'Cs2 Eu2 S4'
_symmetry_space_group_name_H-M 'P 1'
_symmetry_Int_Tables_number 1
_cell_length_a 4.266
_cell_length_b 4.266
_cell_length_c 16.027
_cell_angle_alpha 90.00
_cell_angle_beta 90.00
_cell_angle_gamma 120.00
loop_
_symmetry_equiv_pos_as_xyz
'x,y,z'
loop_
_atom_site_label
_atom_site_fract_x
_atom_site_fract_y
_atom_site_fract_z
Cs1 0.333 0.667 0.250
Cs2 0.667 0.333 0.750
Eu1 0.000 0.000 0.000
Eu2 0.000 0.000 0.500
S1 0.333 0.667 0.592
S2 0.333 0.667 0.908
S3 0.667 0.333 0.092
S4 0.667 0.333 0.408
```

Peak list (10 most intense, 2θ = 10–90°, low angle first)
two_theta, Rel. int.
22.19, 34
24.73, 18
26.57, 100
29.39, 55
32.98, 17
41.73, 44
42.37, 41
48.34, 27
50.71, 17
63.73, 16

=====

Record 2
Starting from a structure optimized by DFT (PBE), the powder diffraction line list of CsEuS2 was simulated for Cu Kα X-rays.

Structural model:
```
data_CsEuS2
_chemical_formula_sum 'Cs1 Eu1 S2'
_symmetry_space_group_name_H-M 'P 1'
_symmetry_Int_Tables_number 1
_cell_length_a 8.398
_cell_length_b 8.398
_cell_length_c 8.398
_cell_angle_alpha 29.39
_cell_angle_beta 29.39
_cell_angle_gamma 29.39
loop_
_symmetry_equiv_pos_as_xyz
'x,y,z'
loop_
_atom_site_label
_atom_site_fract_x
_atom_site_fract_y
_atom_site_fract_z
Cs1 0.000 0.000 0.000
Eu1 0.500 0.500 0.500
S1 0.228 0.228 0.228
S2 0.772 0.772 0.772
```

Peak list (10 most intense, 2θ = 10–90°, low angle first)
two_theta, Rel. int.
22.14, 29
25.24, 53
28.36, 100
38.59, 36
42.43, 35
44.94, 18
48.36, 24
51.82, 18
63.69, 13
69.13, 15

=====

Record 3
Starting from a structure optimized by DFT (PBE), the powder diffraction line list of CsEuSiS4 was simulated for Cu Kα X-rays.

Structural model:
```
data_CsEuSiS4
_chemical_formula_sum 'Cs4 Eu4 Si4 S16'
_symmetry_space_group_name_H-M 'P 1'
_symmetry_Int_Tables_number 1
_cell_length_a 6.610
_cell_length_b 6.813
_cell_length_c 18.257
_cell_angle_alpha 90.00
_cell_angle_beta 90.00
_cell_angle_gamma 90.00
loop_
_symmetry_equiv_pos_as_xyz
'x,y,z'
loop_
_atom_site_label
_atom_site_fract_x
_atom_site_fract_y
_atom_site_fract_z
Cs1 0.001 0.006 0.466
Cs2 0.499 0.994 0.966
Cs3 0.501 0.494 0.534
Cs4 0.999 0.506 0.034
Eu1 0.210 0.025 0.728
Eu2 0.290 0.975 0.228
Eu3 0.710 0.475 0.272
Eu4 0.790 0.525 0.772
Si1 0.211 0.518 0.333
Si2 0.289 0.482 0.833
Si3 0.711 0.982 0.667
Si4 0.789 0.018 0.167
S1 0.044 0.012 0.097
S2 0.074 0.254 0.855
S3 0.112 0.743 0.845
S4 0.113 0.569 0.223
S5 0.387 0.431 0.723
S6 0.388 0.257 0.345
S7 0.426 0.746 0.355
S8 0.456 0.988 0.597
S9 0.544 0.488 0.903
S10 0.574 0.246 0.145
S11 0.612 0.757 0.155
S12 0.613 0.931 0.777
S13 0.887 0.069 0.277
S14 0.888 0.243 0.655
S15 0.926 0.754 0.645
S16 0.956 0.512 0.403
```

Peak list (10 most intense, 2θ = 10–90°, low angle first)
two_theta, Rel. int.
19.33, 95
21.11, 65
23.46, 66
23.77, 48
26.16, 81
27.11, 47
28.73, 100
32.81, 62
39.24, 92
42.51, 60

=====

Record 4
Starting from a structure optimized by DFT (PBE), the powder diffraction line list of CsF was simulated for Cu Kα X-rays.

Structural model:
```
data_CsF
_chemical_formula_sum 'Cs1 F1'
_symmetry_space_group_name_H-M 'P 1'
_symmetry_Int_Tables_number 1
_cell_length_a 3.702
_cell_length_b 3.702
_cell_length_c 3.702
_cell_angle_alpha 90.00
_cell_angle_beta 90.00
_cell_angle_gamma 90.00
loop_
_symmetry_equiv_pos_as_xyz
'x,y,z'
loop_
_atom_site_label
_atom_site_fract_x
_atom_site_fract_y
_atom_site_fract_z
Cs1 0.000 0.000 0.000
F1 0.500 0.500 0.500
```

Peak list (10 most intense, 2θ = 10–90°, low angle first)
two_theta, Rel. int.
24.04, 67
34.25, 100
42.28, 20
49.22, 17
55.50, 28
61.34, 35
72.17, 11
77.32, 14
82.37, 15
87.36, 9

=====

Record 5
Starting from a structure optimized by DFT (PBE), the powder diffraction line list of CsF was simulated for Cu Kα X-rays.

Structural model:
```
data_CsF
_chemical_formula_sum 'Cs1 F1'
_symmetry_space_group_name_H-M 'P 1'
_symmetry_Int_Tables_number 1
_cell_length_a 4.326
_cell_length_b 4.326
_cell_length_c 4.326
_cell_angle_alpha 60.00
_cell_angle_beta 60.00
_cell_angle_gamma 60.00
loop_
_symmetry_equiv_pos_as_xyz
'x,y,z'
loop_
_atom_site_label
_atom_site_fract_x
_atom_site_fract_y
_atom_site_fract_z
Cs1 0.000 0.000 0.000
F1 0.500 0.500 0.500
```

Peak list (10 most intense, 2θ = 10–90°, low angle first)
two_theta, Rel. int.
25.21, 100
29.19, 98
41.76, 71
49.41, 49
51.76, 25
60.53, 11
66.63, 21
68.60, 31
76.24, 23
81.80, 17

=====

Record 6
Starting from a structure optimized by DFT (PBE), the powder diffraction line list of Cs2GaHgF6 was simulated for Cu Kα X-rays.

Structural model:
```
data_Cs2GaHgF6
_chemical_formula_sum 'Cs2 Ga1 Hg1 F6'
_symmetry_space_group_name_H-M 'P 1'
_symmetry_Int_Tables_number 1
_cell_length_a 6.501
_cell_length_b 6.501
_cell_length_c 6.501
_cell_angle_alpha 60.00
_cell_angle_beta 60.00
_cell_angle_gamma 60.00
loop_
_symmetry_equiv_pos_as_xyz
'x,y,z'
loop_
_atom_site_label
_atom_site_fract_x
_atom_site_fract_y
_atom_site_fract_z
Cs1 0.250 0.250 0.250
Cs2 0.750 0.750 0.750
Ga1 0.000 0.000 0.000
Hg1 0.500 0.500 0.500
F1 0.212 0.212 0.788
F2 0.212 0.788 0.212
F3 0.212 0.788 0.788
F4 0.788 0.212 0.212
F5 0.788 0.212 0.788
F6 0.788 0.788 0.212
```

Peak list (10 most intense, 2θ = 10–90°, low angle first)
two_theta, Rel. int.
16.70, 7
27.44, 100
32.29, 9
39.19, 31
42.88, 7
48.51, 40
56.63, 19
64.05, 21
71.03, 6
77.73, 23

=====

Record 7
Starting from a structure optimized by DFT (PBE), the powder diffraction line list of Cs2KGaF6 was simulated for Cu Kα X-rays.

Structural model:
```
data_Cs2KGaF6
_chemical_formula_sum 'Cs2 K1 Ga1 F6'
_symmetry_space_group_name_H-M 'P 1'
_symmetry_Int_Tables_number 1
_cell_length_a 6.475
_cell_length_b 6.475
_cell_length_c 6.475
_cell_angle_alpha 60.00
_cell_angle_beta 60.00
_cell_angle_gamma 60.00
loop_
_symmetry_equiv_pos_as_xyz
'x,y,z'
loop_
_atom_site_label
_atom_site_fract_x
_atom_site_fract_y
_atom_site_fract_z
Cs1 0.250 0.250 0.250
Cs2 0.750 0.750 0.750
K1 0.000 0.000 0.000
Ga1 0.500 0.500 0.500
F1 0.288 0.288 0.712
F2 0.288 0.712 0.288
F3 0.288 0.712 0.712
F4 0.712 0.288 0.288
F5 0.712 0.288 0.712
F6 0.712 0.712 0.288
```

Peak list (10 most intense, 2θ = 10–90°, low angle first)
two_theta, Rel. int.
16.77, 7
19.39, 9
27.55, 100
33.91, 21
39.36, 36
44.23, 7
48.72, 37
56.88, 21
64.34, 20
78.10, 22